For Pm8GeOs3Br4, the GGA-PBE geometry in Alexandria gives the computed X-ray diffraction stick pattern in this record (CuKα).
Kinematic intensities with the Lorentz-polarization factor, no thermal factor.

Principal peaks in the range 2θ from 10° to 80°, in order of rising 2θ:
2θ/deg, I_rel
11.54, 32.5
29.18, 100.0
36.98, 16.6
40.08, 30.1
43.36, 37.5
53.12, 18.4

Cell and atoms:
a b c (Å): 9.055 9.055 9.055
angles (deg): 54.90 54.90 54.90
Fractional coordinates of all 16 atoms:
Pm1 0.217 0.739 0.739
Pm2 0.235 0.235 0.235
Pm3 0.261 0.261 0.783
Pm4 0.261 0.783 0.261
Pm5 0.739 0.217 0.739
Pm6 0.739 0.739 0.217
Pm7 0.765 0.765 0.765
Pm8 0.783 0.261 0.261
Ge1 0.500 0.500 0.500
Os1 0.000 0.000 0.500
Os2 0.000 0.500 0.000
Os3 0.500 0.000 0.000
Br1 0.000 0.000 0.000
Br2 0.000 0.500 0.500
Br3 0.500 0.000 0.500
Br4 0.500 0.500 0.000



For Ge19P4Br4, the GGA-PBE geometry in Alexandria gives the computed X-ray diffraction stick pattern in this record (CuKα).
Kinematic intensities with the Lorentz-polarization factor, no thermal factor.

Principal peaks in the range 2θ from 10° to 80°, in order of rising 2θ:
2θ/deg, I_rel
29.29, 31.7
30.52, 44.4
31.70, 100.0
35.03, 23.3
50.38, 45.7
53.48, 45.4

Cell and atoms:
a b c (Å): 10.561 10.561 10.561
angles (deg): 90.00 90.00 90.00
Fractional coordinates of all 54 atoms:
Ge1 0.000 0.250 0.500
Ge2 0.000 0.750 0.500
Ge3 0.002 0.119 0.693
Ge4 0.002 0.881 0.307
Ge5 0.119 0.307 0.998
Ge6 0.119 0.693 0.002
Ge7 0.185 0.185 0.185
Ge8 0.185 0.815 0.815
Ge9 0.193 0.381 0.498
Ge10 0.193 0.619 0.502
Ge11 0.250 0.500 0.000
Ge12 0.307 0.002 0.881
Ge13 0.307 0.998 0.119
Ge14 0.315 0.315 0.685
Ge15 0.315 0.685 0.315
Ge16 0.381 0.498 0.193
Ge17 0.381 0.502 0.807
Ge18 0.498 0.193 0.381
Ge19 0.498 0.807 0.619
Ge20 0.500 0.000 0.250
Ge21 0.500 0.000 0.750
Ge22 0.502 0.193 0.619
Ge23 0.502 0.807 0.381
Ge24 0.619 0.498 0.807
Ge25 0.619 0.502 0.193
Ge26 0.685 0.315 0.315
Ge27 0.685 0.685 0.685
Ge28 0.693 0.002 0.119
Ge29 0.693 0.998 0.881
Ge30 0.750 0.500 0.000
Ge31 0.807 0.381 0.502
Ge32 0.807 0.619 0.498
Ge33 0.815 0.185 0.815
Ge34 0.815 0.815 0.185
Ge35 0.881 0.307 0.002
Ge36 0.881 0.693 0.998
Ge37 0.998 0.119 0.307
Ge38 0.998 0.881 0.693
P1 0.184 0.184 0.816
P2 0.184 0.816 0.184
P3 0.316 0.316 0.316
P4 0.316 0.684 0.684
P5 0.684 0.316 0.684
P6 0.684 0.684 0.316
P7 0.816 0.184 0.184
P8 0.816 0.816 0.816
Br1 0.000 0.000 0.000
Br2 0.000 0.500 0.250
Br3 0.000 0.500 0.750
Br4 0.250 0.000 0.500
Br5 0.500 0.250 0.000
Br6 0.500 0.500 0.500
Br7 0.500 0.750 0.000
Br8 0.750 0.000 0.500



Please write out number 2 again, unchanged.
For Ge19P4Br4, the GGA-PBE geometry in Alexandria gives the computed X-ray diffraction stick pattern in this record (CuKα).
Kinematic intensities with the Lorentz-polarization factor, no thermal factor.

Principal peaks in the range 2θ from 10° to 80°, in order of rising 2θ:
2θ/deg, I_rel
29.29, 31.7
30.52, 44.4
31.70, 100.0
35.03, 23.3
50.38, 45.7
53.48, 45.4

Cell and atoms:
a b c (Å): 10.561 10.561 10.561
angles (deg): 90.00 90.00 90.00
Fractional coordinates of all 54 atoms:
Ge1 0.000 0.250 0.500
Ge2 0.000 0.750 0.500
Ge3 0.002 0.119 0.693
Ge4 0.002 0.881 0.307
Ge5 0.119 0.307 0.998
Ge6 0.119 0.693 0.002
Ge7 0.185 0.185 0.185
Ge8 0.185 0.815 0.815
Ge9 0.193 0.381 0.498
Ge10 0.193 0.619 0.502
Ge11 0.250 0.500 0.000
Ge12 0.307 0.002 0.881
Ge13 0.307 0.998 0.119
Ge14 0.315 0.315 0.685
Ge15 0.315 0.685 0.315
Ge16 0.381 0.498 0.193
Ge17 0.381 0.502 0.807
Ge18 0.498 0.193 0.381
Ge19 0.498 0.807 0.619
Ge20 0.500 0.000 0.250
Ge21 0.500 0.000 0.750
Ge22 0.502 0.193 0.619
Ge23 0.502 0.807 0.381
Ge24 0.619 0.498 0.807
Ge25 0.619 0.502 0.193
Ge26 0.685 0.315 0.315
Ge27 0.685 0.685 0.685
Ge28 0.693 0.002 0.119
Ge29 0.693 0.998 0.881
Ge30 0.750 0.500 0.000
Ge31 0.807 0.381 0.502
Ge32 0.807 0.619 0.498
Ge33 0.815 0.185 0.815
Ge34 0.815 0.815 0.185
Ge35 0.881 0.307 0.002
Ge36 0.881 0.693 0.998
Ge37 0.998 0.119 0.307
Ge38 0.998 0.881 0.693
P1 0.184 0.184 0.816
P2 0.184 0.816 0.184
P3 0.316 0.316 0.316
P4 0.316 0.684 0.684
P5 0.684 0.316 0.684
P6 0.684 0.684 0.316
P7 0.816 0.184 0.184
P8 0.816 0.816 0.816
Br1 0.000 0.000 0.000
Br2 0.000 0.500 0.250
Br3 0.000 0.500 0.750
Br4 0.250 0.000 0.500
Br5 0.500 0.250 0.000
Br6 0.500 0.500 0.500
Br7 0.500 0.750 0.000
Br8 0.750 0.000 0.500